[1]
This entry pairs a crystal structure of Ho5Bi2Rh with its computed powder diffraction line list. Radiation: Cu Kα (λ = 1.5418 Å). Structure: a PBE-relaxed structure.
Peak positions follow from Bragg's law for the DFT cell and can differ from measured ones.

The 10 most intense peaks (10° ≤ 2θ ≤ 80°), sorted by position:
- d = 3.084 Å, 2θ 28.95, I = 38
- d = 2.943 Å, 2θ 30.38, I = 100
- d = 2.738 Å, 2θ 32.71, I = 94
- d = 2.720 Å, 2θ 32.93, I = 92
- d = 2.686 Å, 2θ 33.36, I = 27
- d = 2.462 Å, 2θ 36.50, I = 42
- d = 2.395 Å, 2θ 37.56, I = 26
- d = 2.129 Å, 2θ 42.46, I = 27
- d = 1.984 Å, 2θ 45.74, I = 22
- d = 1.657 Å, 2θ 55.47, I = 22

Structure:
```
data_Ho5Bi2Rh
_cell_length_a 5.5305
_cell_length_b 5.5305
_cell_length_c 16.3907
_cell_angle_alpha 90.00
_cell_angle_beta 90.00
_cell_angle_gamma 115.71
_symmetry_space_group_name_H-M 'P 1'
_symmetry_Int_Tables_number 1
_symmetry_space_group_name_Hall 'P 1'
loop_
_atom_site_label
_atom_site_fract_x
_atom_site_fract_y
_atom_site_fract_z
Ho1 0.0623 0.9377 0.6003
Ho2 0.0623 0.9377 0.8997
Ho3 0.2509 0.7491 0.2500
Ho4 0.4006 0.5994 0.6432
Ho5 0.4006 0.5994 0.8568
Ho6 0.5994 0.4006 0.1432
Ho7 0.5994 0.4006 0.3568
Ho8 0.7491 0.2509 0.7500
Ho9 0.9377 0.0623 0.1003
Ho10 0.9377 0.0623 0.3997
Bi1 0.2811 0.7189 0.0570
Bi2 0.2811 0.7189 0.4430
Bi3 0.7189 0.2811 0.5570
Bi4 0.7189 0.2811 0.9430
Rh1 0.1627 0.8373 0.7500
Rh2 0.8373 0.1627 0.2500
```

---

[2]
This entry pairs a crystal structure of Li4CaBi with its computed powder diffraction line list. Radiation: Cu Kα (λ = 1.5418 Å). Structure: a PBE-relaxed structure.
Peak positions follow from Bragg's law for the DFT cell and can differ from measured ones.

The 10 most intense peaks (10° ≤ 2θ ≤ 80°), sorted by position:
- d = 4.726 Å, 2θ 18.78, I = 100
- d = 4.093 Å, 2θ 21.72, I = 34
- d = 2.894 Å, 2θ 30.90, I = 70
- d = 2.468 Å, 2θ 36.40, I = 70
- d = 1.878 Å, 2θ 48.48, I = 27
- d = 1.830 Å, 2θ 49.82, I = 17
- d = 1.671 Å, 2θ 54.96, I = 28
- d = 1.575 Å, 2θ 58.60, I = 24
- d = 1.384 Å, 2θ 67.72, I = 20
- d = 1.294 Å, 2θ 73.12, I = 12

Structure:
```
data_Li4CaBi
_cell_length_a 5.7878
_cell_length_b 5.7878
_cell_length_c 5.7878
_cell_angle_alpha 60.00
_cell_angle_beta 60.00
_cell_angle_gamma 60.00
_symmetry_space_group_name_H-M 'P 1'
_symmetry_Int_Tables_number 1
_symmetry_space_group_name_Hall 'P 1'
loop_
_atom_site_label
_atom_site_fract_x
_atom_site_fract_y
_atom_site_fract_z
Li1 0.1251 0.1251 0.1251
Li2 0.1251 0.1251 0.6246
Li3 0.1251 0.6246 0.1251
Li4 0.6246 0.1251 0.1251
Ca1 0.7500 0.7500 0.7500
Bi1 0.5000 0.5000 0.5000
```

---

[3]
This entry pairs a crystal structure of K7Na12In with its computed powder diffraction line list. Radiation: Cu Kα (λ = 1.5418 Å). Structure: a PBE-relaxed structure.
Peak positions follow from Bragg's law for the DFT cell and can differ from measured ones.

The 10 most intense peaks (10° ≤ 2θ ≤ 80°), sorted by position:
- d = 5.557 Å, 2θ 15.95, I = 46
- d = 4.813 Å, 2θ 18.43, I = 80
- d = 4.305 Å, 2θ 20.63, I = 13
- d = 3.638 Å, 2θ 24.47, I = 15
- d = 3.403 Å, 2θ 26.19, I = 45
- d = 3.044 Å, 2θ 29.34, I = 21
- d = 2.779 Å, 2θ 32.21, I = 100
- d = 2.152 Å, 2θ 41.98, I = 17
- d = 1.819 Å, 2θ 50.15, I = 52
- d = 1.522 Å, 2θ 60.87, I = 13

Structure:
```
data_K7Na12In
_cell_length_a 11.7890
_cell_length_b 11.7890
_cell_length_c 11.7890
_cell_angle_alpha 109.47
_cell_angle_beta 109.47
_cell_angle_gamma 109.47
_symmetry_space_group_name_H-M 'P 1'
_symmetry_Int_Tables_number 1
_symmetry_space_group_name_Hall 'P 1'
loop_
_atom_site_label
_atom_site_fract_x
_atom_site_fract_y
_atom_site_fract_z
K1 0.0000 0.0000 0.5000
K2 0.0000 0.5000 0.0000
K3 0.0000 0.5000 0.5000
K4 0.5000 0.0000 0.0000
K5 0.5000 0.0000 0.5000
K6 0.5000 0.5000 0.0000
K7 0.5000 0.5000 0.5000
Na1 0.1095 0.7437 0.3658
Na2 0.2563 0.3658 0.6221
Na3 0.2563 0.6342 0.8905
Na4 0.3658 0.1095 0.7437
Na5 0.3658 0.6221 0.2563
Na6 0.3779 0.7437 0.6342
Na7 0.6221 0.2563 0.3658
Na8 0.6342 0.3779 0.7437
Na9 0.6342 0.8905 0.2563
Na10 0.7437 0.3658 0.1095
Na11 0.7437 0.6342 0.3779
Na12 0.8905 0.2563 0.6342
In1 0.0000 0.0000 0.0000
```

---

[4]
This entry pairs a crystal structure of La3InMo with its computed powder diffraction line list. Radiation: Cu Kα (λ = 1.5418 Å). Structure: a PBE-relaxed structure.
Peak positions follow from Bragg's law for the DFT cell and can differ from measured ones.

The 10 most intense peaks (10° ≤ 2θ ≤ 80°), sorted by position:
- d = 5.479 Å, 2θ 16.18, I = 20
- d = 3.163 Å, 2θ 28.21, I = 92
- d = 2.739 Å, 2θ 32.69, I = 100
- d = 2.450 Å, 2θ 36.68, I = 10
- d = 1.937 Å, 2θ 46.91, I = 72
- d = 1.652 Å, 2θ 55.64, I = 41
- d = 1.582 Å, 2θ 58.35, I = 25
- d = 1.370 Å, 2θ 68.51, I = 11
- d = 1.257 Å, 2θ 75.67, I = 16
- d = 1.225 Å, 2θ 78.00, I = 32

Structure:
```
data_La3InMo
_cell_length_a 5.4786
_cell_length_b 5.4786
_cell_length_c 5.4786
_cell_angle_alpha 90.00
_cell_angle_beta 90.00
_cell_angle_gamma 90.00
_symmetry_space_group_name_H-M 'P 1'
_symmetry_Int_Tables_number 1
_symmetry_space_group_name_Hall 'P 1'
loop_
_atom_site_label
_atom_site_fract_x
_atom_site_fract_y
_atom_site_fract_z
La1 0.0000 0.0000 0.5000
La2 0.0000 0.5000 0.0000
La3 0.5000 0.0000 0.0000
In1 0.5000 0.5000 0.5000
Mo1 0.0000 0.0000 0.0000
```

---

[5]
This entry pairs a crystal structure of La12Pm7Zr with its computed powder diffraction line list. Radiation: Cu Kα (λ = 1.5418 Å). Structure: a PBE-relaxed structure.
Peak positions follow from Bragg's law for the DFT cell and can differ from measured ones.

The 10 most intense peaks (10° ≤ 2θ ≤ 80°), sorted by position:
- d = 3.329 Å, 2θ 26.78, I = 17
- d = 3.265 Å, 2θ 27.32, I = 31
- d = 3.002 Å, 2θ 29.76, I = 100
- d = 2.753 Å, 2θ 32.52, I = 23
- d = 2.716 Å, 2θ 32.97, I = 24
- d = 2.654 Å, 2θ 33.77, I = 20
- d = 2.333 Å, 2θ 38.58, I = 21
- d = 2.268 Å, 2θ 39.75, I = 18
- d = 1.959 Å, 2θ 46.35, I = 17
- d = 1.935 Å, 2θ 46.96, I = 19

Structure:
```
data_La12Pm7Zr
_cell_length_a 11.5104
_cell_length_b 11.5104
_cell_length_c 11.5104
_cell_angle_alpha 116.62
_cell_angle_beta 116.62
_cell_angle_gamma 116.62
_symmetry_space_group_name_H-M 'P 1'
_symmetry_Int_Tables_number 1
_symmetry_space_group_name_Hall 'P 1'
loop_
_atom_site_label
_atom_site_fract_x
_atom_site_fract_y
_atom_site_fract_z
La1 0.0000 0.4064 0.5936
La2 0.0000 0.5936 0.4064
La3 0.0592 0.0592 0.4146
La4 0.0592 0.4146 0.0592
La5 0.4064 0.0000 0.5936
La6 0.4064 0.5936 0.0000
La7 0.4146 0.0592 0.0592
La8 0.5854 0.9408 0.9408
La9 0.5936 0.0000 0.4064
La10 0.5936 0.4064 0.0000
La11 0.9408 0.5854 0.9408
La12 0.9408 0.9408 0.5854
Pm1 0.0000 0.0000 0.0000
Pm2 0.1441 0.3926 0.3926
Pm3 0.3926 0.1441 0.3926
Pm4 0.3926 0.3926 0.1441
Pm5 0.6074 0.6074 0.8559
Pm6 0.6074 0.8559 0.6074
Pm7 0.8559 0.6074 0.6074
Zr1 0.5000 0.5000 0.5000
```

---

[6]
This entry pairs a crystal structure of Pm3Ni3Bi4 with its computed powder diffraction line list. Radiation: Cu Kα (λ = 1.5418 Å). Structure: a PBE-relaxed structure.
Peak positions follow from Bragg's law for the DFT cell and can differ from measured ones.

The 10 most intense peaks (10° ≤ 2θ ≤ 80°), sorted by position:
- d = 3.112 Å, 2θ 28.68, I = 71
- d = 2.630 Å, 2θ 34.09, I = 100
- d = 2.201 Å, 2θ 41.01, I = 19
- d = 2.098 Å, 2θ 43.11, I = 9
- d = 2.009 Å, 2θ 45.13, I = 24
- d = 1.930 Å, 2θ 47.08, I = 26
- d = 1.597 Å, 2θ 57.75, I = 20
- d = 1.556 Å, 2θ 59.39, I = 17
- d = 1.519 Å, 2θ 61.01, I = 14
- d = 1.339 Å, 2θ 70.29, I = 14

Structure:
```
data_Pm3Ni3Bi4
_cell_length_a 8.5231
_cell_length_b 8.5231
_cell_length_c 8.5231
_cell_angle_alpha 109.47
_cell_angle_beta 109.47
_cell_angle_gamma 109.47
_symmetry_space_group_name_H-M 'P 1'
_symmetry_Int_Tables_number 1
_symmetry_space_group_name_Hall 'P 1'
loop_
_atom_site_label
_atom_site_fract_x
_atom_site_fract_y
_atom_site_fract_z
Pm1 0.1250 0.7500 0.8750
Pm2 0.2500 0.6250 0.3750
Pm3 0.3750 0.2500 0.6250
Pm4 0.6250 0.3750 0.2500
Pm5 0.7500 0.8750 0.1250
Pm6 0.8750 0.1250 0.7500
Ni1 0.1250 0.8750 0.2500
Ni2 0.2500 0.1250 0.8750
Ni3 0.3750 0.6250 0.7500
Ni4 0.6250 0.7500 0.3750
Ni5 0.7500 0.3750 0.6250
Ni6 0.8750 0.2500 0.1250
Bi1 0.0000 0.3474 0.5000
Bi2 0.0000 0.8474 0.5000
Bi3 0.1526 0.1526 0.1526
Bi4 0.3474 0.5000 0.0000
Bi5 0.5000 0.0000 0.3474
Bi6 0.5000 0.0000 0.8474
Bi7 0.6526 0.6526 0.6526
Bi8 0.8474 0.5000 0.0000
```

---

[7]
This entry pairs a crystal structure of CsK3In8 with its computed powder diffraction line list. Radiation: Cu Kα (λ = 1.5418 Å). Structure: a PBE-relaxed structure.
Peak positions follow from Bragg's law for the DFT cell and can differ from measured ones.

The 10 most intense peaks (10° ≤ 2θ ≤ 80°), sorted by position:
- d = 5.762 Å, 2θ 15.38, I = 33
- d = 2.964 Å, 2θ 30.15, I = 41
- d = 2.800 Å, 2θ 31.97, I = 90
- d = 2.776 Å, 2θ 32.25, I = 100
- d = 2.592 Å, 2θ 34.60, I = 25
- d = 2.518 Å, 2θ 35.65, I = 39
- d = 1.801 Å, 2θ 50.69, I = 24
- d = 1.683 Å, 2θ 54.52, I = 29
- d = 1.663 Å, 2θ 55.23, I = 30
- d = 1.400 Å, 2θ 66.83, I = 21

Structure:
```
data_CsK3In8
_cell_length_a 6.6531
_cell_length_b 6.6531
_cell_length_c 10.3685
_cell_angle_alpha 90.00
_cell_angle_beta 90.00
_cell_angle_gamma 120.00
_symmetry_space_group_name_H-M 'P 1'
_symmetry_Int_Tables_number 1
_symmetry_space_group_name_Hall 'P 1'
loop_
_atom_site_label
_atom_site_fract_x
_atom_site_fract_y
_atom_site_fract_z
Cs1 0.0000 0.0000 0.0000
K1 0.0000 0.0000 0.3789
K2 0.6667 0.3333 0.5054
K3 0.6667 0.3333 0.8775
In1 0.1683 0.3365 0.6851
In2 0.1683 0.8317 0.6851
In3 0.3333 0.6667 0.4369
In4 0.3333 0.6667 0.9445
In5 0.5027 0.0055 0.1959
In6 0.5027 0.4973 0.1959
In7 0.6635 0.8317 0.6851
In8 0.9945 0.4973 0.1959
```